(1)
# Cs4Rb3AgCl8
Theoretical XRD peak list, λ = 1.5418 Å (Cu Kα). Input: a cell relaxed with GGA-PBE.
No peak broadening, texture or thermal motion is included.

Principal peaks in the range 5 to 70 degrees two-theta, low angle first:
d = 3.927 Å, I = 412; d = 3.895 Å, I = 393; d = 3.471 Å, I = 575; d = 3.347 Å, I = 1000; d = 2.409 Å, I = 781; d = 2.381 Å, I = 176; d = 2.352 Å, I = 179; d = 1.963 Å, I = 192; d = 1.947 Å, I = 196; d = 1.541 Å, I = 181

Crystal structure
Cell: 9.641 9.641 9.523 Å, 119.55 119.55 58.41°
Sites, in units of the cell vectors:
Cs1 0.000 0.000 0.000
Cs2 0.000 0.500 0.500
Cs3 0.500 0.000 0.500
Cs4 0.500 0.500 0.000
Rb1 0.000 0.000 0.500
Rb2 0.000 0.500 0.000
Rb3 0.500 0.000 0.000
Ag1 0.500 0.500 0.500
Cl1 0.239 0.239 0.228
Cl2 0.245 0.245 0.755
Cl3 0.277 0.715 0.286
Cl4 0.285 0.723 0.714
Cl5 0.715 0.277 0.286
Cl6 0.723 0.285 0.714
Cl7 0.755 0.755 0.245
Cl8 0.761 0.761 0.772

(2)
# Cs2RbAgCl4
Theoretical XRD peak list, λ = 1.5418 Å (Cu Kα). Input: a cell relaxed with GGA-PBE.
No peak broadening, texture or thermal motion is included.

Principal peaks in the range 5 to 70 degrees two-theta, low angle first:
d = 7.057 Å, I = 269; d = 4.322 Å, I = 289; d = 3.962 Å, I = 427; d = 3.866 Å, I = 282; d = 3.388 Å, I = 387; d = 3.208 Å, I = 1000; d = 3.156 Å, I = 389; d = 2.732 Å, I = 279; d = 2.352 Å, I = 513; d = 2.328 Å, I = 281

Crystal structure
Cell: 8.074 8.074 17.287 Å, 90.00 90.00 146.48°
Sites, in units of the cell vectors:
Cs1 0.138 0.862 0.553
Cs2 0.138 0.862 0.947
Cs3 0.862 0.138 0.053
Cs4 0.862 0.138 0.447
Rb1 0.392 0.608 0.750
Rb2 0.608 0.392 0.250
Ag1 0.332 0.668 0.250
Ag2 0.668 0.332 0.750
Cl1 0.077 0.923 0.750
Cl2 0.217 0.783 0.140
Cl3 0.217 0.783 0.360
Cl4 0.500 0.500 0.000
Cl5 0.500 0.500 0.500
Cl6 0.783 0.217 0.640
Cl7 0.783 0.217 0.860
Cl8 0.923 0.077 0.250